The following is a computed powder diffraction line list of Be3Rh. It was derived from a cell relaxed with PBE, using Cu Kα X-rays.
Intensities are scaled so that the largest is 1000.

Structural model:
```
data_Be3Rh
_cell_length_a 4.8320
_cell_length_b 4.8320
_cell_length_c 3.7456
_cell_angle_alpha 90.00
_cell_angle_beta 90.00
_cell_angle_gamma 120.00
_space_group_name_H-M_alt 'P 63/m m c'
_space_group_IT_number 194
_space_group_name_Hall '-P 6c 2c'
loop_
_atom_site_label
_atom_site_type_symbol
_atom_site_fract_x
_atom_site_fract_y
_atom_site_fract_z
_atom_site_occupancy
Be1 Be 0.1590 0.3179 0.2500 1
Rh1 Rh 0.3333 0.6667 0.7500 1
```

Most intense lines, 10° ≤ 2θ ≤ 90°, by intensity:
2θ (°)  I_rel  hkl
32.07  1000  1 0 1
21.23  440  1 0 0
37.22  440  1 1 0
49.93  424  2 0 1
63.89  257  2 1 1
62.78  186  1 1 2
67.09  133  3 0 0
79.30  122  2 2 0